Computed XRD peak list of Rb3HfO3 for Cu Kα, 1.54184 Å, from a cell relaxed with GGA-PBE.
Lines closer than 0.1° are merged.

Main lines, in order of rising 2θ (15° ≤ 2θ ≤ 90°):
2θ/deg, I/Imax, h k l
17.7, 43, 0 0 2
21.8, 47, 2 2 1
24.4, 51, 0 2 2
25.5, 89, 3 1 2
27.3, 100, 1 3 1
28.6, 60, 1 1 3
29.8, 77, 5 1 1
36.9, 43, 6 2 0
46.5, 49, 5 3 3
51.3, 36, 1 5 3

Structure:
Unit cell a=16.4546 b=10.6222 c=10.0064 alpha=90.00 beta=90.00 gamma=90.00
Space group Cmce (No. 64)
Unique sites:
Rb (0.0000, 0.2090, 0.1547) (multiplicity 8)
Rb (0.1781, 0.1649, 0.8801) (multiplicity 16)
Hf (0.0932, 0.0000, 0.5000) (multiplicity 8)
O (0.0000, 0.0737, 0.3906) (multiplicity 8)
O (0.1536, 0.1345, 0.5852) (multiplicity 16)

=====

Computed XRD peak list of DyY4HoS8 for Cu Kα, 1.54184 Å, from a cell relaxed with GGA-PBE.
Lines closer than 0.1° are merged.

Main lines, in order of rising 2θ (15° ≤ 2θ ≤ 90°):
2θ/deg, I/Imax, h k l
22.1, 33, 1 1 0
26.0, 100, 0 1 5
31.4, 19, 0 2 4
38.7, 15, 3 0 0
41.2, 44, 1 2 5
45.0, 61, 2 2 0
52.7, 14, 3 1 5
62.7, 23, 1 0 13
71.8, 14, 5 0 5
83.1, 19, 0 2 16

Structure:
Unit cell a=8.0524 b=8.0524 c=19.7218 alpha=90.00 beta=90.00 gamma=120.00
Space group R3m (No. 160, hexagonal axes)
Unique sites:
Dy (0.0000, 0.0000, 0.0000) (multiplicity 3)
Y (0.0000, 0.0000, 0.6247) (multiplicity 3)
Y (0.0000, 0.5000, 0.4999) (multiplicity 9)
Ho (0.0000, 0.0000, 0.3749) (multiplicity 3)
S (0.0000, 0.0000, 0.2431) (multiplicity 3)
S (0.0000, 0.0000, 0.7573) (multiplicity 3)
S (0.0186, 0.5093, 0.7519) (multiplicity 9)
S (0.1772, 0.3543, 0.5810) (multiplicity 9)

=====

Computed XRD peak list of KNaZnAg for Cu Kα, 1.54184 Å, from a cell relaxed with GGA-PBE.
Lines closer than 0.1° are merged.

Main lines, in order of rising 2θ (15° ≤ 2θ ≤ 90°):
2θ/deg, I/Imax, h k l
23.7, 50, 1 1 -1
26.0, 56, 0 0 2
28.1, 89, 1 1 1
28.3, 45, 2 0 -2
31.0, 61, 1 1 -2
38.5, 52, 0 2 0
38.9, 100, 3 1 -1
41.2, 76, 3 1 -2
47.4, 42, 3 1 1
56.6, 47, 3 1 2

Structure:
Unit cell a=7.9872 b=4.6776 c=7.3601 alpha=90.00 beta=111.11 gamma=90.00
Space group Cm (No. 8)
Unique sites:
K (0.0000, 0.0000, 0.0000) (multiplicity 2)
Na (0.1907, 0.0000, 0.5713) (multiplicity 2)
Zn (0.2820, 0.5000, 0.3429) (multiplicity 2)
Ag (0.4489, 0.0000, 0.3477) (multiplicity 2)